# 1
Starting from a DFT-relaxed cell (GGA-PBE, Alexandria), the PXRD pattern of DyPuIr was simulated for CuKα.
Lines closer than 0.1° are merged.

Structural model:
Cell: 4.6540 12.3954 7.2713 Å, 90.00 90.00 90.00°
Space group Amm2 (No. 38)
Inequivalent atoms, fractional coordinates:
Dy 0.0000 0.0000 0.0000 x2
Dy 0.0000 0.2109 0.3671 x4
Pu 0.5000 0.0000 0.3259 x2
Pu 0.5000 0.1205 0.7036 x4
Ir 0.0000 0.0000 0.5625 x2
Ir 0.5000 0.1706 0.0732 x4

Most intense lines, 2θ = 10–80°, sorted by position:
- 31.22 deg, I 43
- 31.46 deg, I 75
- 34.49 deg, I 100
- 34.78 deg, I 44
- 37.82 deg, I 22
- 38.16 deg, I 23
- 38.36 deg, I 27
- 38.69 deg, I 60
- 42.69 deg, I 23
- 43.23 deg, I 50
- 55.63 deg, I 19
- 59.43 deg, I 19

# 2
Starting from a DFT-relaxed cell (GGA-PBE, Alexandria), the PXRD pattern of DyPuZnIr was simulated for CuKα.
Lines closer than 0.1° are merged.

Structural model:
Cell: 6.9689 6.9689 6.9689 Å, 90.00 90.00 90.00°
Space group F-43m (No. 216)
Inequivalent atoms, fractional coordinates:
Dy 0.0000 0.0000 0.0000 x4
Pu 0.0000 0.0000 0.5000 x4
Zn 0.2500 0.2500 0.7500 x4
Ir 0.2500 0.2500 0.2500 x4

Most intense lines, 2θ = 10–80°, sorted by position:
- 22.09 deg, I 10
- 25.56 deg, I 5
- 36.47 deg, I 100
- 43.05 deg, I 6
- 45.07 deg, I 2
- 52.53 deg, I 18
- 57.66 deg, I 3
- 59.30 deg, I 2
- 65.63 deg, I 37
- 70.17 deg, I 2
- 77.48 deg, I 11